Diffraction record for In2SnPb. The powder diffraction line list is simulated, not measured: it uses a GGA-PBE-relaxed structure and Cu Kα (λ = 1.5418 Å).
Lines closer than 0.1° are merged.

Principal peaks in the range 15 to 90 degrees two-theta, by angle:
h k l	2θ (°)	intensity
1 1 1	20.0	5
2 0 0	23.1	3
2 2 0	32.9	100
3 1 1	38.8	3
4 0 0	47.3	18
4 2 0	53.3	2
4 2 2	58.8	38
4 4 0	69.1	12
6 2 0	78.7	17
4 4 4	88.0	4

```
data_In2SnPb
_cell_length_a 7.6892
_cell_length_b 7.6892
_cell_length_c 7.6892
_cell_angle_alpha 90.00
_cell_angle_beta 90.00
_cell_angle_gamma 90.00
_symmetry_space_group_name_H-M 'F m -3 m'
_symmetry_Int_Tables_number 225
_symmetry_space_group_name_Hall '-F 4 2 3'
loop_
_atom_site_label
_atom_site_fract_x
_atom_site_fract_y
_atom_site_fract_z
In1 0.2500 0.2500 0.2500
Sn1 0.0000 0.0000 0.0000
Pb1 0.0000 0.0000 0.5000
```

Diffraction record for In2Sn5Pb4. The powder diffraction line list is simulated, not measured: it uses a GGA-PBE-relaxed structure and Cu Kα (λ = 1.5418 Å).
Lines closer than 0.1° are merged.

Principal peaks in the range 15 to 90 degrees two-theta, by angle:
h k l	2θ (°)	intensity
0 2 0	28.8	40
1 1 -2	30.6	71
4 0 -2	31.2	67
5 1 0	31.3	73
5 1 -1	31.5	43
0 2 1	32.1	100
1 1 2	32.9	71
6 0 0	33.4	37
4 2 -1	37.3	49
10 2 -1	63.7	35

```
data_In2Sn5Pb4
_cell_length_a 16.5662
_cell_length_b 6.1848
_cell_length_c 6.6407
_cell_angle_alpha 90.00
_cell_angle_beta 103.63
_cell_angle_gamma 90.00
_symmetry_space_group_name_H-M 'C 1 2/m 1'
_symmetry_Int_Tables_number 12
loop_
_symmetry_equiv_pos_as_xyz
'x,y,z'
'-x,-y,-z'
'-x,y,-z'
'x,-y,z'
'x+1/2,y+1/2,z'
'-x+1/2,-y+1/2,-z'
'-x+1/2,y+1/2,-z'
'x+1/2,-y+1/2,z'
loop_
_atom_site_label
_atom_site_fract_x
_atom_site_fract_y
_atom_site_fract_z
In1 0.2489 0.0000 0.3449
Sn1 0.0000 0.5000 0.0000
Sn2 0.0836 0.2480 0.4317
Pb1 0.0837 0.0000 0.8974
Pb2 0.2053 0.5000 0.1168
```

Diffraction record for In6SnPb4. The powder diffraction line list is simulated, not measured: it uses a GGA-PBE-relaxed structure and Cu Kα (λ = 1.5418 Å).
Lines closer than 0.1° are merged.

Principal peaks in the range 15 to 90 degrees two-theta, by angle:
h k l	2θ (°)	intensity
-1 1 2	31.3	51
1 2 3	31.7	100
1 0 7	32.5	47
2 1 1	36.3	35
0 1 9	36.7	34
0 2 -4	37.7	32
2 0 -8	51.7	13
3 2 -5	62.0	22
1 -3 2	63.9	13
-2 2 4	65.3	12

```
data_In6SnPb4
_cell_length_a 4.9500
_cell_length_b 5.9468
_cell_length_c 23.8683
_cell_angle_alpha 83.99
_cell_angle_beta 85.91
_cell_angle_gamma 65.73
_symmetry_space_group_name_H-M 'P -1'
_symmetry_Int_Tables_number 2
loop_
_symmetry_equiv_pos_as_xyz
'x,y,z'
'-x,-y,-z'
loop_
_atom_site_label
_atom_site_fract_x
_atom_site_fract_y
_atom_site_fract_z
In1 0.0000 0.0000 0.0000
In2 0.0909 0.5396 0.2720
In3 0.1785 0.0952 0.5451
In4 0.2270 0.8641 0.6833
In5 0.2709 0.6382 0.8165
In6 0.3615 0.1806 0.0930
In7 0.5000 0.5000 0.5000
Sn1 0.4094 0.9629 0.2276
Pb1 0.0456 0.7768 0.1394
Pb2 0.1419 0.3126 0.4092
Pb3 0.3165 0.4064 0.9546
Pb4 0.4555 0.7260 0.3620
```

Diffraction record for In16Sn6Pb7. The powder diffraction line list is simulated, not measured: it uses a GGA-PBE-relaxed structure and Cu Kα (λ = 1.5418 Å).
Lines closer than 0.1° are merged.

Principal peaks in the range 15 to 90 degrees two-theta, by angle:
h k l	2θ (°)	intensity
2 2 2	20.1	42
4 2 2	28.6	17
3 3 3	30.3	36
4 4 0	33.1	100
5 3 1	34.7	28
6 0 0	35.2	26
6 2 2	39.0	47
8 0 0	47.5	22
8 4 4	59.1	22
9 3 3	60.1	20

```
data_In16Sn6Pb7
_cell_length_a 15.3087
_cell_length_b 15.3087
_cell_length_c 15.3087
_cell_angle_alpha 90.00
_cell_angle_beta 90.00
_cell_angle_gamma 90.00
_symmetry_space_group_name_H-M 'F m -3 m'
_symmetry_Int_Tables_number 225
_symmetry_space_group_name_Hall '-F 4 2 3'
loop_
_atom_site_label
_atom_site_fract_x
_atom_site_fract_y
_atom_site_fract_z
In1 0.1223 0.1223 0.1223
In2 0.1569 0.1569 0.3431
Sn1 0.0000 0.0000 0.3502
Pb1 0.0000 0.0000 0.0000
Pb2 0.0000 0.2500 0.2500
```

Diffraction record for In7Sn4Pb. The powder diffraction line list is simulated, not measured: it uses a GGA-PBE-relaxed structure and Cu Kα (λ = 1.5418 Å).
Lines closer than 0.1° are merged.

Principal peaks in the range 15 to 90 degrees two-theta, by angle:
h k l	2θ (°)	intensity
1 0 4	32.2	100
0 0 12	32.5	32
0 1 8	37.5	66
1 1 0	53.8	23
1 0 16	54.2	22
0 2 4	64.1	14
1 1 12	64.3	26
0 1 20	64.7	12
2 0 8	67.4	12
2 1 4	88.4	12

```
data_In7Sn4Pb
_cell_length_a 3.4084
_cell_length_b 3.4084
_cell_length_c 33.0365
_cell_angle_alpha 90.00
_cell_angle_beta 90.00
_cell_angle_gamma 120.00
_symmetry_space_group_name_H-M 'P -3 m 1'
_symmetry_Int_Tables_number 164
_symmetry_space_group_name_Hall '-P 3 2"'
loop_
_atom_site_label
_atom_site_fract_x
_atom_site_fract_y
_atom_site_fract_z
In1 0.0000 0.0000 0.0000
In2 0.0000 0.0000 0.2476
In3 0.3333 0.6667 0.1652
In4 0.3333 0.6667 0.4126
Sn1 0.3333 0.6667 0.6689
Sn2 0.3333 0.6667 0.9182
Pb1 0.0000 0.0000 0.5000
```

Diffraction record for In4Sn3Pb. The powder diffraction line list is simulated, not measured: it uses a GGA-PBE-relaxed structure and Cu Kα (λ = 1.5418 Å).
Lines closer than 0.1° are merged.

Principal peaks in the range 15 to 90 degrees two-theta, by angle:
h k l	2θ (°)	intensity
2 0 -2	30.6	65
0 2 0	32.1	58
3 1 1	33.7	100
5 1 -1	35.0	91
2 2 -2	44.9	45
8 0 0	53.5	13
1 1 3	55.5	24
7 1 -3	58.2	42
5 3 -1	59.1	21
4 0 -4	63.8	23

```
data_In4Sn3Pb
_cell_length_a 14.6102
_cell_length_b 5.5785
_cell_length_c 5.8504
_cell_angle_alpha 90.00
_cell_angle_beta 110.35
_cell_angle_gamma 90.00
_symmetry_space_group_name_H-M 'C 1 2/m 1'
_symmetry_Int_Tables_number 12
loop_
_symmetry_equiv_pos_as_xyz
'x,y,z'
'-x,-y,-z'
'-x,y,-z'
'x,-y,z'
'x+1/2,y+1/2,z'
'-x+1/2,-y+1/2,-z'
'-x+1/2,y+1/2,-z'
'x+1/2,-y+1/2,z'
loop_
_atom_site_label
_atom_site_fract_x
_atom_site_fract_y
_atom_site_fract_z
In1 0.1237 0.0000 0.1167
In2 0.2460 0.5000 0.2478
Sn1 0.0000 0.5000 0.0000
Sn2 0.1331 0.5000 0.6355
Pb1 0.0000 0.0000 0.5000
```

Diffraction record for In14SnPb. The powder diffraction line list is simulated, not measured: it uses a GGA-PBE-relaxed structure and Cu Kα (λ = 1.5418 Å).
Lines closer than 0.1° are merged.

Principal peaks in the range 15 to 90 degrees two-theta, by angle:
h k l	2θ (°)	intensity
1 2 2	30.7	26
4 0 0	32.7	39
1 0 4	33.0	21
2 2 2	33.9	100
2 0 4	36.0	15
3 2 2	38.7	14
0 2 6	55.5	12
6 2 2	59.1	19
4 4 0	61.8	12
4 2 6	65.9	14

```
data_In14SnPb
_cell_length_a 10.9578
_cell_length_b 7.1755
_cell_length_c 11.1915
_cell_angle_alpha 90.00
_cell_angle_beta 90.00
_cell_angle_gamma 90.00
_symmetry_space_group_name_H-M 'A m m 2'
_symmetry_Int_Tables_number 38
loop_
_symmetry_equiv_pos_as_xyz
'x,y,z'
'-x,-y,z'
'-x,y,z'
'x,-y,z'
'x,y+1/2,z+1/2'
'-x,-y+1/2,z+1/2'
'-x,y+1/2,z+1/2'
'x,-y+1/2,z+1/2'
loop_
_atom_site_label
_atom_site_fract_x
_atom_site_fract_y
_atom_site_fract_z
In1 0.0000 0.0000 0.0000
In2 0.0000 0.0000 0.4875
In3 0.0000 0.2391 0.7436
In4 0.2446 0.0000 0.1876
In5 0.2486 0.2399 0.9326
In6 0.2543 0.0000 0.6742
In7 0.5000 0.2405 0.1165
Sn1 0.5000 0.0000 0.8608
Pb1 0.5000 0.0000 0.3700
```

Diffraction record for In8SnPb4. The powder diffraction line list is simulated, not measured: it uses a GGA-PBE-relaxed structure and Cu Kα (λ = 1.5418 Å).
Lines closer than 0.1° are merged.

Principal peaks in the range 15 to 90 degrees two-theta, by angle:
h k l	2θ (°)	intensity
1 0 4	30.9	31
0 1 6	31.3	20
1 1 3	33.2	100
0 2 0	33.6	42
0 1 7	35.2	53
1 2 4	46.2	20
2 0 0	51.9	12
1 3 3	59.8	24
2 2 0	63.2	21
2 1 7	64.2	14

```
data_In8SnPb4
_cell_length_a 3.5263
_cell_length_b 5.3410
_cell_length_c 20.3048
_cell_angle_alpha 90.00
_cell_angle_beta 90.00
_cell_angle_gamma 90.00
_symmetry_space_group_name_H-M 'P m m 2'
_symmetry_Int_Tables_number 25
loop_
_symmetry_equiv_pos_as_xyz
'x,y,z'
'-x,-y,z'
'-x,y,z'
'x,-y,z'
loop_
_atom_site_label
_atom_site_fract_x
_atom_site_fract_y
_atom_site_fract_z
In1 0.0000 0.0000 0.0000
In2 0.0000 0.0000 0.2782
In3 0.0000 0.5000 0.0965
In4 0.0000 0.5000 0.4645
In5 0.5000 0.0000 0.4195
In6 0.5000 0.0000 0.7105
In7 0.5000 0.5000 0.6241
In8 0.5000 0.5000 0.9520
Sn1 0.5000 0.0000 0.8635
Pb1 0.0000 0.0000 0.5619
Pb2 0.0000 0.5000 0.7896
Pb3 0.5000 0.0000 0.1441
Pb4 0.5000 0.5000 0.3179
```

Diffraction record for In9Sn4Pb11. The powder diffraction line list is simulated, not measured: it uses a GGA-PBE-relaxed structure and Cu Kα (λ = 1.5418 Å).
Lines closer than 0.1° are merged.

Principal peaks in the range 15 to 90 degrees two-theta, by angle:
h k l	2θ (°)	intensity
4 0 0	18.1	13
4 0 1	31.3	100
4 6 0	31.9	92
1 5 1	33.9	14
8 0 0	36.6	91
0 0 2	52.0	19
8 6 1	52.7	33
5 11 1	61.0	12
4 6 2	62.3	28
4 12 1	63.4	14

```
data_In9Sn4Pb11
_cell_length_a 19.6502
_cell_length_b 20.5156
_cell_length_c 3.5196
_cell_angle_alpha 90.00
_cell_angle_beta 90.00
_cell_angle_gamma 90.00
_symmetry_space_group_name_H-M 'C m m m'
_symmetry_Int_Tables_number 65
_symmetry_space_group_name_Hall '-C 2 2'
loop_
_atom_site_label
_atom_site_fract_x
_atom_site_fract_y
_atom_site_fract_z
In1 0.0000 0.0000 0.0000
In2 0.1146 0.4106 0.0000
In3 0.1242 0.2408 0.0000
Sn1 0.1378 0.0821 0.0000
Pb1 0.0000 0.1418 0.5000
Pb2 0.0000 0.3169 0.5000
Pb3 0.0000 0.5000 0.5000
Pb4 0.2327 0.5000 0.5000
Pb5 0.2409 0.3322 0.5000
```

Diffraction record for In2SnPb2. The powder diffraction line list is simulated, not measured: it uses a GGA-PBE-relaxed structure and Cu Kα (λ = 1.5418 Å).
Lines closer than 0.1° are merged.

Principal peaks in the range 15 to 90 degrees two-theta, by angle:
h k l	2θ (°)	intensity
1 0 1	18.7	14
1 0 5	24.8	11
1 1 2	26.9	16
1 1 6	32.9	100
2 0 0	37.2	37
0 0 12	40.2	13
2 2 0	53.6	13
2 0 12	55.9	21
3 1 6	64.4	29
2 2 12	69.1	11

```
data_In2SnPb2
_cell_length_a 4.8336
_cell_length_b 4.8336
_cell_length_c 26.9242
_cell_angle_alpha 90.00
_cell_angle_beta 90.00
_cell_angle_gamma 90.00
_symmetry_space_group_name_H-M 'I 41/a m d'
_symmetry_Int_Tables_number 141
loop_
_symmetry_equiv_pos_as_xyz
'x,y,z'
'-x,-y,-z'
'-y+1/4,x+3/4,z+1/4'
'y+1/4,-x+3/4,-z+1/4'
'-x+1/2,-y,z+1/2'
'x+1/2,y,-z+1/2'
'y+1/4,-x+1/4,z+3/4'
'-y+1/4,x+1/4,-z+3/4'
'x,-y,-z'
'-x,y,z'
'-y+1/4,-x+1/4,-z+3/4'
'y+1/4,x+1/4,z+3/4'
'-x+1/2,y,-z+1/2'
'x+1/2,-y,z+1/2'
'y+1/4,x+3/4,-z+1/4'
'-y+1/4,-x+3/4,z+1/4'
'x+1/2,y+1/2,z+1/2'
'-x+1/2,-y+1/2,-z+1/2'
'-y+3/4,x+1/4,z+3/4'
'y+3/4,-x+1/4,-z+3/4'
'-x,-y+1/2,z'
'x,y+1/2,-z'
'y+3/4,-x+3/4,z+1/4'
'-y+3/4,x+3/4,-z+1/4'
'x+1/2,-y+1/2,-z+1/2'
'-x+1/2,y+1/2,z+1/2'
'-y+3/4,-x+3/4,-z+1/4'
'y+3/4,x+3/4,z+1/4'
'-x,y+1/2,-z'
'x,-y+1/2,z'
'y+3/4,x+1/4,-z+3/4'
'-y+3/4,-x+1/4,z+3/4'
loop_
_atom_site_label
_atom_site_fract_x
_atom_site_fract_y
_atom_site_fract_z
In1 0.0000 0.2500 0.0444
Sn1 0.0000 0.2500 0.3750
Pb1 0.0000 0.2500 0.2027
```

Diffraction record for TbInSnPb. The powder diffraction line list is simulated, not measured: it uses a GGA-PBE-relaxed structure and Cu Kα (λ = 1.5418 Å).
Lines closer than 0.1° are merged.

Principal peaks in the range 15 to 90 degrees two-theta, by angle:
h k l	2θ (°)	intensity
1 1 1	32.6	100
0 2 0	37.8	34
2 0 0	38.0	17
0 2 2	54.5	12
2 2 0	54.6	23
1 3 1	65.0	28
3 1 1	65.2	14
2 2 2	68.3	12
1 3 3	89.7	6
3 3 1	90.0	12

```
data_TbInSnPb
_cell_length_a 4.7403
_cell_length_b 4.7635
_cell_length_c 4.7648
_cell_angle_alpha 90.00
_cell_angle_beta 90.00
_cell_angle_gamma 90.00
_symmetry_space_group_name_H-M 'P m m m'
_symmetry_Int_Tables_number 47
loop_
_symmetry_equiv_pos_as_xyz
'x,y,z'
'-x,-y,-z'
'-x,-y,z'
'x,y,-z'
'x,-y,-z'
'-x,y,z'
'-x,y,-z'
'x,-y,z'
loop_
_atom_site_label
_atom_site_fract_x
_atom_site_fract_y
_atom_site_fract_z
Tb1 0.0000 0.0000 0.0000
In1 0.5000 0.5000 0.0000
Sn1 0.5000 0.0000 0.5000
Pb1 0.0000 0.5000 0.5000
```

Diffraction record for Sr6InPb5. The powder diffraction line list is simulated, not measured: it uses a GGA-PBE-relaxed structure and Cu Kα (λ = 1.5418 Å).
Lines closer than 0.1° are merged.

Principal peaks in the range 15 to 90 degrees two-theta, by angle:
h k l	2θ (°)	intensity
0 0 3	30.1	53
2 0 -1	30.3	52
1 2 1	30.8	100
1 2 -2	31.1	98
2 0 2	42.9	21
2 0 -4	43.6	19
1 2 4	53.8	21
3 2 0	54.0	21
1 2 -5	54.2	20
3 2 -3	54.5	20

```
data_Sr6InPb5
_cell_length_a 5.8994
_cell_length_b 7.9886
_cell_length_c 9.3404
_cell_angle_alpha 90.00
_cell_angle_beta 107.55
_cell_angle_gamma 90.00
_symmetry_space_group_name_H-M 'P 1 2/m 1'
_symmetry_Int_Tables_number 10
loop_
_symmetry_equiv_pos_as_xyz
'x,y,z'
'-x,-y,-z'
'-x,y,-z'
'x,-y,z'
loop_
_atom_site_label
_atom_site_fract_x
_atom_site_fract_y
_atom_site_fract_z
Sr1 0.0000 0.2452 0.0000
Sr2 0.3355 0.2516 0.6661
In1 0.5000 0.5000 0.0000
Pb1 0.1586 0.5000 0.3219
Pb2 0.1648 0.0000 0.3363
Pb3 0.5000 0.0000 0.0000
```

Diffraction record for Sr3In4Pb2. The powder diffraction line list is simulated, not measured: it uses a GGA-PBE-relaxed structure and Cu Kα (λ = 1.5418 Å).
Lines closer than 0.1° are merged.

Principal peaks in the range 15 to 90 degrees two-theta, by angle:
h k l	2θ (°)	intensity
2 0 1	20.5	34
1 1 1	22.6	26
3 1 -1	27.8	34
3 1 0	28.8	75
0 0 3	29.1	76
3 1 -3	35.1	100
0 2 0	35.7	51
3 1 2	39.2	30
0 2 3	46.7	23
5 1 3	60.0	21

```
data_Sr3In4Pb2
_cell_length_a 12.5608
_cell_length_b 5.0283
_cell_length_c 9.8064
_cell_angle_alpha 90.00
_cell_angle_beta 110.12
_cell_angle_gamma 90.00
_symmetry_space_group_name_H-M 'C 1 2/m 1'
_symmetry_Int_Tables_number 12
loop_
_symmetry_equiv_pos_as_xyz
'x,y,z'
'-x,-y,-z'
'-x,y,-z'
'x,-y,z'
'x+1/2,y+1/2,z'
'-x+1/2,-y+1/2,-z'
'-x+1/2,y+1/2,-z'
'x+1/2,-y+1/2,z'
loop_
_atom_site_label
_atom_site_fract_x
_atom_site_fract_y
_atom_site_fract_z
Sr1 0.0000 0.0000 0.0000
Sr2 0.1845 0.5000 0.6534
In1 0.0030 0.0000 0.6563
In2 0.2492 0.0000 0.9209
Pb1 0.1181 0.5000 0.2909
```